Record 1
# Cu9S16
Calculated powder XRD pattern, copper Kα. Input: a DFT-relaxed cell (GGA-PBE, the Materials Project).

Top 8 peaks for 2θ from 15° to 90°, low angle first:
2θ = 28.9°, intensity 23; 2θ = 29.7°, intensity 54; 2θ = 30.3°, intensity 100; 2θ = 30.8°, intensity 32; 2θ = 34.2°, intensity 26; 2θ = 50.5°, intensity 86; 2θ = 51.1°, intensity 69; 2θ = 60.3°, intensity 24

Cell and atoms:
Unit cell a=46.4275 b=46.4275 c=46.4275 alpha=4.47 beta=4.47 gamma=4.47
Fractional coordinates of all 25 atoms:
Cu1 0.0000 0.0000 0.0000
Cu2 0.0307 0.0307 0.0307
Cu3 0.0937 0.0937 0.0937
Cu4 0.1565 0.1565 0.1565
Cu5 0.4062 0.4062 0.4062
Cu6 0.4687 0.4687 0.4687
Cu7 0.7187 0.7187 0.7187
Cu8 0.7812 0.7812 0.7812
Cu9 0.8593 0.8593 0.8593
S1 0.0153 0.0153 0.0153
S2 0.0779 0.0779 0.0779
S3 0.1405 0.1405 0.1405
S4 0.2013 0.2013 0.2013
S5 0.2654 0.2654 0.2654
S6 0.3277 0.3277 0.3277
S7 0.3903 0.3903 0.3903
S8 0.4529 0.4529 0.4529
S9 0.5173 0.5173 0.5173
S10 0.5780 0.5780 0.5780
S11 0.6399 0.6399 0.6399
S12 0.7027 0.7027 0.7027
S13 0.7654 0.7654 0.7654
S14 0.8282 0.8282 0.8282
S15 0.8909 0.8909 0.8909
S16 0.9531 0.9531 0.9531

Record 2
# Ti7Sn3O20
Calculated powder XRD pattern, copper Kα. Input: a DFT-relaxed cell (GGA-PBE, the Materials Project).

Top 8 peaks for 2θ from 15° to 90°, low angle first:
2θ = 22.2°, intensity 18; 2θ = 26.8°, intensity 100; 2θ = 35.0°, intensity 62; 2θ = 38.2°, intensity 14; 2θ = 52.8°, intensity 64; 2θ = 55.2°, intensity 18; 2θ = 67.0°, intensity 21; 2θ = 67.4°, intensity 13

Cell and atoms:
Unit cell a=4.7074 b=4.7074 c=15.2850 alpha=90.00 beta=90.00 gamma=90.01
Fractional coordinates of all 30 atoms:
Ti1 0.0000 0.0000 0.0000
Ti2 0.0000 0.0000 0.4006
Ti3 0.0000 0.0000 0.5994
Ti4 0.5000 0.5000 0.0969
Ti5 0.5000 0.5000 0.2983
Ti6 0.5000 0.5000 0.7017
Ti7 0.5000 0.5000 0.9031
Sn1 0.0000 0.0000 0.2003
Sn2 0.0000 0.0000 0.7997
Sn3 0.5000 0.5000 0.5000
O1 0.1869 0.8131 0.5000
O2 0.1993 0.8007 0.0946
O3 0.1993 0.8007 0.9054
O4 0.2007 0.7993 0.3043
O5 0.2007 0.7993 0.6957
O6 0.2997 0.2997 0.3952
O7 0.2997 0.2997 0.6048
O8 0.3065 0.3065 0.0000
O9 0.3131 0.3131 0.1986
O10 0.3131 0.3131 0.8014
O11 0.6869 0.6869 0.1986
O12 0.6869 0.6869 0.8014
O13 0.6935 0.6935 0.0000
O14 0.7003 0.7003 0.3952
O15 0.7003 0.7003 0.6048
O16 0.7993 0.2007 0.3043
O17 0.7993 0.2007 0.6957
O18 0.8007 0.1993 0.0946
O19 0.8007 0.1993 0.9054
O20 0.8131 0.1869 0.5000

Record 3
# GdRh2
Calculated powder XRD pattern, copper Kα. Input: a DFT-relaxed cell (GGA-PBE, the Materials Project).

Top 8 peaks for 2θ from 15° to 90°, low angle first:
2θ = 33.4°, intensity 41; 2θ = 39.3°, intensity 100; 2θ = 41.2°, intensity 28; 2θ = 59.6°, intensity 15; 2θ = 63.6°, intensity 32; 2θ = 70.1°, intensity 26; 2θ = 83.4°, intensity 11; 2θ = 84.6°, intensity 10

Cell and atoms:
Unit cell a=5.3723 b=5.3723 c=5.3723 alpha=60.00 beta=60.00 gamma=60.00
Fractional coordinates of all 6 atoms:
Gd1 0.1250 0.1250 0.1250
Gd2 0.8750 0.8750 0.8750
Rh1 0.0000 0.5000 0.5000
Rh2 0.5000 0.0000 0.5000
Rh3 0.5000 0.5000 0.0000
Rh4 0.5000 0.5000 0.5000

Record 4
# Na3TaZnSiP2O12
Calculated powder XRD pattern, copper Kα. Input: a DFT-relaxed cell (GGA-PBE, the Materials Project).

Top 8 peaks for 2θ from 15° to 90°, low angle first:
2θ = 19.6°, intensity 62; 2θ = 19.7°, intensity 100; 2θ = 28.3°, intensity 31; 2θ = 31.1°, intensity 34; 2θ = 31.6°, intensity 34; 2θ = 31.9°, intensity 30; 2θ = 34.1°, intensity 33; 2θ = 34.4°, intensity 40

Cell and atoms:
Unit cell a=9.0259 b=9.0259 c=8.8464 alpha=118.92 beta=118.92 gamma=59.77
Fractional coordinates of all 40 atoms:
Na1 0.0640 0.9360 0.5000
Na2 0.2040 0.6512 0.0421
Na3 0.5565 0.7851 0.3009
Na4 0.6512 0.2040 0.5421
Na5 0.7851 0.5565 0.8009
Na6 0.9360 0.0640 0.0000
Ta1 0.0414 0.5294 0.2164
Ta2 0.5294 0.0414 0.7164
Zn1 0.3411 0.8200 0.9232
Zn2 0.8200 0.3411 0.4232
Si1 0.4210 0.6440 0.5193
Si2 0.6440 0.4210 0.0193
P1 0.1397 0.2212 0.8355
P2 0.2212 0.1397 0.3355
P3 0.7280 0.9231 0.1220
P4 0.9231 0.7280 0.6220
O1 0.0640 0.7807 0.8017
O2 0.0735 0.1666 0.3905
O3 0.1345 0.4035 0.9994
O4 0.1666 0.0735 0.8905
O5 0.1723 0.3104 0.2850
O6 0.2385 0.6291 0.3304
O7 0.2548 0.9650 0.1767
O8 0.3104 0.1723 0.7850
O9 0.3496 0.7079 0.6805
O10 0.4035 0.1345 0.4994
O11 0.4626 0.5964 0.0075
O12 0.4656 0.8244 0.5546
O13 0.5757 0.8813 0.1029
O14 0.5964 0.4626 0.5075
O15 0.6291 0.2385 0.8304
O16 0.6794 0.9673 0.9436
O17 0.7079 0.3496 0.1805
O18 0.7446 0.9039 0.6099
O19 0.7807 0.0640 0.3017
O20 0.8244 0.4656 0.0546
O21 0.8813 0.5757 0.6029
O22 0.9039 0.7446 0.1099
O23 0.9650 0.2548 0.6767
O24 0.9673 0.6794 0.4436

Record 5
# NaIO2
Calculated powder XRD pattern, copper Kα. Input: a DFT-relaxed cell (GGA-PBE, the Materials Project).

Top 8 peaks for 2θ from 15° to 90°, low angle first:
2θ = 15.5°, intensity 88; 2θ = 25.6°, intensity 49; 2θ = 28.7°, intensity 59; 2θ = 31.3°, intensity 100; 2θ = 38.1°, intensity 28; 2θ = 39.7°, intensity 57; 2θ = 49.7°, intensity 48; 2θ = 52.5°, intensity 35

Cell and atoms:
Unit cell a=7.7030 b=7.7030 c=7.7030 alpha=130.67 beta=130.67 gamma=72.33
Fractional coordinates of all 16 atoms:
Na1 0.0000 0.0000 0.0000
Na2 0.0000 0.0000 0.5000
Na3 0.0000 0.5000 0.0000
Na4 0.5000 0.0000 0.5000
I1 0.0000 0.5000 0.5000
I2 0.5000 0.0000 0.0000
I3 0.5000 0.5000 0.0000
I4 0.5000 0.5000 0.5000
O1 0.2066 0.2352 0.5286
O2 0.2066 0.6780 0.9714
O3 0.2352 0.2066 0.0286
O4 0.3220 0.7934 0.5286
O5 0.6780 0.2066 0.4714
O6 0.7648 0.7934 0.9714
O7 0.7934 0.3220 0.0286
O8 0.7934 0.7648 0.4714

Record 6
# MgSn2
Calculated powder XRD pattern, copper Kα. Input: a DFT-relaxed cell (GGA-PBE, the Materials Project).

Top 8 peaks for 2θ from 15° to 90°, low angle first:
2θ = 27.3°, intensity 35; 2θ = 31.1°, intensity 35; 2θ = 32.4°, intensity 70; 2θ = 34.2°, intensity 100; 2θ = 34.8°, intensity 39; 2θ = 36.2°, intensity 87; 2θ = 38.7°, intensity 31; 2θ = 57.6°, intensity 49

Cell and atoms:
Unit cell a=6.7378 b=6.7378 c=7.3020 alpha=106.56 beta=106.56 gamma=29.09
Fractional coordinates of all 6 atoms:
Mg1 0.0291 0.0291 0.3008
Mg2 0.9709 0.9709 0.6992
Sn1 0.3177 0.3177 0.3647
Sn2 0.3670 0.3670 0.9662
Sn3 0.6330 0.6330 0.0338
Sn4 0.6823 0.6823 0.6353

Record 7
# Lu4CdIr
Calculated powder XRD pattern, copper Kα. Input: a DFT-relaxed cell (GGA-PBE, the Materials Project).

Top 8 peaks for 2θ from 15° to 90°, low angle first:
2θ = 29.1°, intensity 18; 2θ = 32.8°, intensity 42; 2θ = 34.8°, intensity 100; 2θ = 38.1°, intensity 37; 2θ = 58.5°, intensity 41; 2θ = 59.9°, intensity 14; 2θ = 73.2°, intensity 13; 2θ = 88.6°, intensity 14

Cell and atoms:
Unit cell a=9.4592 b=9.4592 c=9.4592 alpha=60.00 beta=60.00 gamma=60.00
Fractional coordinates of all 24 atoms:
Lu1 0.1876 0.1876 0.8124
Lu2 0.1876 0.8124 0.1876
Lu3 0.1876 0.8124 0.8124
Lu4 0.4009 0.4009 0.4009
Lu5 0.4009 0.4009 0.7972
Lu6 0.4009 0.7972 0.4009
Lu7 0.5604 0.5604 0.9396
Lu8 0.5604 0.9396 0.5604
Lu9 0.5604 0.9396 0.9396
Lu10 0.7972 0.4009 0.4009
Lu11 0.8124 0.1876 0.1876
Lu12 0.8124 0.1876 0.8124
Lu13 0.8124 0.8124 0.1876
Lu14 0.9396 0.5604 0.5604
Lu15 0.9396 0.5604 0.9396
Lu16 0.9396 0.9396 0.5604
Cd1 0.1683 0.1683 0.1683
Cd2 0.1683 0.1683 0.4950
Cd3 0.1683 0.4950 0.1683
Cd4 0.4950 0.1683 0.1683
Ir1 0.1760 0.6080 0.6080
Ir2 0.6080 0.1760 0.6080
Ir3 0.6080 0.6080 0.1760
Ir4 0.6080 0.6080 0.6080

Record 8
# CsHg5Cl11
Calculated powder XRD pattern, copper Kα. Input: a DFT-relaxed cell (GGA-PBE, the Materials Project).

Top 8 peaks for 2θ from 15° to 90°, low angle first:
2θ = 17.9°, intensity 62; 2θ = 19.0°, intensity 60; 2θ = 20.4°, intensity 58; 2θ = 21.1°, intensity 92; 2θ = 28.3°, intensity 100; 2θ = 28.4°, intensity 93; 2θ = 30.1°, intensity 75; 2θ = 34.4°, intensity 73

Cell and atoms:
Unit cell a=9.8358 b=9.8358 c=7.2183 alpha=106.52 beta=106.52 gamma=105.52
Fractional coordinates of all 17 atoms:
Cs1 0.0000 0.0000 0.0000
Hg1 0.0316 0.3389 0.6607
Hg2 0.3389 0.0316 0.6607
Hg3 0.5000 0.5000 0.0000
Hg4 0.6611 0.9684 0.3393
Hg5 0.9684 0.6611 0.3393
Cl1 0.0000 0.0000 0.5000
Cl2 0.1171 0.7107 0.6864
Cl3 0.1667 0.4145 0.0199
Cl4 0.2893 0.8829 0.3136
Cl5 0.3694 0.3694 0.6344
Cl6 0.4145 0.1667 0.0199
Cl7 0.5855 0.8333 0.9801
Cl8 0.6306 0.6306 0.3656
Cl9 0.7107 0.1171 0.6864
Cl10 0.8333 0.5855 0.9801
Cl11 0.8829 0.2893 0.3136